For Cs2ErAg2Se4, a crystal structure in Alexandria, relaxed with GGA-PBE gives the theoretical PXRD pattern in this record (Cu Kα).
No peak broadening, texture or thermal motion is included.

Structure:
a b c (Å): 15.8261 4.2213 8.6007
angles (deg): 90.00 107.75 90.00
Space group C2/m (No. 12)
Inequivalent atoms, fractional coordinates:
Cs 0.1320 0.0000 0.0637 (multiplicity 4)
Er 0.0000 0.0000 0.5000 (multiplicity 2)
Ag 0.1799 0.5000 0.4804 (multiplicity 4)
Se 0.0132 0.5000 0.2794 (multiplicity 4)
Se 0.1905 0.0000 0.6767 (multiplicity 4)

Peak list (10 most intense, 10° ≤ 2θ ≤ 80°, in order of falling intensity)
hkl	d [Å]	I/Imax
3 1 1	2.822	100.0
1 1 -2	3.012	75.6
0 0 1	8.191	64.3
3 1 3	1.909	50.4
3 1 -1	3.231	39.5
3 1 -3	2.323	37.9
0 2 0	2.111	33.7
4 0 1	3.085	30.8
6 2 0	1.616	29.2
6 0 0	2.512	27.5